This entry pairs a crystal structure of Fe5Te6Cl2O18 with its simulated powder X-ray diffraction pattern. Radiation: λ = 1.5418 Å (Cu Kα). Structure: the PBE+U geometry in Alexandria.
Peak positions follow from Bragg's law for the DFT cell and can differ from measured ones.

Crystal structure
```
data_Fe5Te6Cl2O18
_chemical_formula_sum 'Fe5 Te6 Cl2 O18'
_cell_length_a 4.9351
_cell_length_b 9.4290
_cell_length_c 10.5438
_cell_angle_alpha 105.78
_cell_angle_beta 90.65
_cell_angle_gamma 104.38
_space_group_name_H-M_alt 'P -1'
_space_group_IT_number 2
_space_group_name_Hall '-P 1'
loop_
_atom_site_label
_atom_site_fract_x
_atom_site_fract_y
_atom_site_fract_z
Fe1 0.0000 0.0000 0.0000
Fe2 0.2921 0.5848 0.5446
Fe3 0.4875 0.9155 0.7044
Te1 0.0868 0.1975 0.5685
Te2 0.1762 0.3446 0.1991
Te3 0.3988 0.7687 0.0990
Cl1 0.2449 0.4400 0.8681
O1 0.0612 0.4630 0.3676
O2 0.1027 0.8487 0.8356
O3 0.2086 0.7819 0.5445
O4 0.2117 0.0574 0.4300
O5 0.2633 0.9515 0.1176
O6 0.2936 0.1807 0.0048
O7 0.3665 0.3837 0.5547
O8 0.4303 0.1266 0.7269
O9 0.4625 0.2908 0.2874
```

Main lines, by intensity (2θ = 5–70°):
index, d [Å], Position (°2θ), I/Imax
1 1 -2, 3.352, 26.59, 100.0
1 -2 2, 3.302, 27.00, 75.0
0 1 3, 2.883, 31.02, 59.4
1 2 1, 2.605, 34.43, 55.2
-1 3 1, 2.588, 34.66, 52.7
1 -1 2, 3.582, 24.85, 45.1
2 -1 0, 2.467, 36.42, 41.9
1 0 -2, 3.623, 24.57, 39.3
1 0 1, 4.176, 21.27, 36.4
-1 4 4, 1.496, 62.06, 32.5